Theoretical PXRD pattern
Compound: Tb6PmHo4
Radiation: Cu Kα (weighted mean of Kα1 and Kα2)
Structure: the GGA-PBE geometry in Alexandria
Peak positions follow from Bragg's law for the DFT cell and can differ from measured ones.

Main lines, by angle (10° ≤ 2θ ≤ 90°):
d = 2.938 Å, 30.43 deg, intensity 71, (1 1 7); d = 2.911 Å, 30.71 deg, intensity 59, (0 2 7); d = 2.868 Å, 31.19 deg, intensity 76, (2 0 0); d = 2.795 Å, 32.02 deg, intensity 100, (1 3 0); d = 2.685 Å, 33.37 deg, intensity 59, (1 1 8); d = 2.043 Å, 44.34 deg, intensity 44, (2 2 7)

Structural model:
```
data_Tb6PmHo4
_chemical_formula_sum 'Tb24 Pm4 Ho16'
_space_group_name_H-M_alt 'C m c m'
_space_group_IT_number 63
_space_group_name_Hall '-C 2c 2'
_cell_length_a 5.735
_cell_length_b 9.604
_cell_length_c 25.622
_cell_angle_alpha 90.00
_cell_angle_beta 90.00
_cell_angle_gamma 90.00
loop_
_atom_site_label
_atom_site_type_symbol
_atom_site_fract_x
_atom_site_fract_y
_atom_site_fract_z
Tb1 Tb 0.000 0.000 0.000
Tb2 Tb 0.000 0.034 0.250
Tb3 Tb 0.000 0.301 0.602
Tb4 Tb 0.000 0.368 0.181
Pm1 Pm 0.000 0.301 0.750
Ho1 Ho 0.000 0.040 0.121
Ho2 Ho 0.000 0.347 0.043
```